For SrSbSe2F, a DFT-relaxed cell (GGA-PBE, the Materials Project) gives the calculated XRD peak list in this record (copper Kα).
No peak broadening, texture or thermal motion is included.

Largest 8 diffraction maxima, by angle, 2θ = 10–90°:
d = 3.689 Å, 2θ 24.12, I = 42.1, hkl 0 0 4; d = 3.160 Å, 2θ 28.24, I = 30.7, hkl 1 0 3; d = 2.916 Å, 2θ 30.66, I = 100.0, hkl 1 1 0; d = 2.288 Å, 2θ 39.39, I = 62.8, hkl 1 1 4; d = 2.111 Å, 2θ 42.84, I = 19.6, hkl 0 0 7; d = 2.062 Å, 2θ 43.91, I = 45.4, hkl 2 0 0; d = 1.877 Å, 2θ 48.49, I = 18.1, hkl 1 0 7; d = 1.800 Å, 2θ 50.72, I = 22.3, hkl 2 0 4

Structure:
Cell lengths 4.1240, 4.1240, 14.7574 Å; angles 90.00, 90.00, 90.00 degrees
Space group P4/nmm (No. 129, origin choice 2)
One atom of each set of equivalent atoms:
Sr (0.2500, 0.2500, 0.0983) x2
Sb (0.2500, 0.2500, 0.6371) x2
Se (0.2500, 0.2500, 0.3874) x2
Se (0.2500, 0.2500, 0.8103) x2
F (0.2500, 0.7500, 0.0000) x2